No. 1
Diffraction record for LiDy2Tc. The powder X-ray diffraction pattern is theoretical, not measured: it uses the GGA-PBE geometry in the Materials Project and Cu Kα X-rays.
Lines closer than 0.1° are merged.

Principal peaks in the range 10° ≤ 2θ ≤ 90°, by angle:
index, two_theta, I/Imax
2 0 0, 25.55, 31
2 2 0, 36.45, 100
4 0 0, 52.50, 18
4 2 0, 59.28, 13
4 2 2, 65.60, 36
6 2 0, 88.75, 16

Structure:
```
data_LiDy2Tc
_cell_length_a 6.972
_cell_length_b 6.972
_cell_length_c 6.972
_cell_angle_alpha 90.00
_cell_angle_beta 90.00
_cell_angle_gamma 90.00
_space_group_name_H-M_alt 'F m -3 m'
_space_group_IT_number 225
_space_group_name_Hall '-F 4 2 3'
loop_
_atom_site_label
_atom_site_type_symbol
_atom_site_fract_x
_atom_site_fract_y
_atom_site_fract_z
Li1 Li 0.000 0.000 0.000
Dy1 Dy 0.250 0.250 0.250
Tc1 Tc 0.000 0.000 0.500
```

***

No. 2
Diffraction record for Zr5Sn3As. The powder X-ray diffraction pattern is theoretical, not measured: it uses the GGA-PBE geometry in the Materials Project and Cu Kα X-rays.
Lines closer than 0.1° are merged.

Principal peaks in the range 10° ≤ 2θ ≤ 90°, by angle:
index, two_theta, I/Imax
2 1 1, 34.91, 85
3 0 0, 35.74, 71
1 1 2, 36.54, 100
3 1 1, 46.01, 27
2 1 3, 56.46, 21
4 1 2, 64.73, 22

Structure:
```
data_Zr5Sn3As
_cell_length_a 8.7025
_cell_length_b 8.7025
_cell_length_c 5.9620
_cell_angle_alpha 90.00
_cell_angle_beta 90.00
_cell_angle_gamma 120.00
_space_group_name_H-M_alt 'P 63/m c m'
_space_group_IT_number 193
_space_group_name_Hall '-P 6c 2'
loop_
_atom_site_label
_atom_site_type_symbol
_atom_site_fract_x
_atom_site_fract_y
_atom_site_fract_z
Zr1 Zr 0.0000 0.2620 0.2500
Zr2 Zr 0.3333 0.6667 0.0000
Sn1 Sn 0.0000 0.3951 0.7500
As1 As 0.0000 0.0000 0.0000
```

***

No. 3
Diffraction record for NbIO2. The powder X-ray diffraction pattern is theoretical, not measured: it uses the GGA-PBE geometry in the Materials Project and Cu Kα X-rays.
Lines closer than 0.1° are merged.

Principal peaks in the range 10° ≤ 2θ ≤ 90°, by angle:
index, two_theta, I/Imax
1 0 1, 22.58, 84
4 1 0, 28.64, 100
8 0 0, 33.09, 28
5 1 1, 38.67, 45
9 0 1, 43.92, 40
4 1 2, 54.47, 27

Structure:
```
data_NbIO2
_cell_length_a 21.660
_cell_length_b 3.812
_cell_length_c 4.004
_cell_angle_alpha 90.00
_cell_angle_beta 90.00
_cell_angle_gamma 90.00
_space_group_name_H-M_alt 'P n m a'
_space_group_IT_number 62
_space_group_name_Hall '-P 2ac 2n'
loop_
_atom_site_label
_atom_site_type_symbol
_atom_site_fract_x
_atom_site_fract_y
_atom_site_fract_z
Nb1 Nb 0.065 0.250 0.049
I1 I 0.171 0.750 0.995
O1 O 0.031 0.750 0.994
O2 O 0.072 0.250 0.501
```

***

No. 4
Diffraction record for MgAg2Br2O4. The powder X-ray diffraction pattern is theoretical, not measured: it uses the GGA-PBE geometry in the Materials Project and Cu Kα X-rays.
Lines closer than 0.1° are merged.

Principal peaks in the range 10° ≤ 2θ ≤ 90°, by angle:
index, two_theta, I/Imax
0 0 3, 25.76, 57
1 1 0, 31.49, 87
1 1 -1, 31.74, 100
0 0 4, 34.58, 47
1 1 3, 43.35, 38
1 1 -4, 44.68, 38

Structure:
```
data_MgAg2Br2O4
_cell_length_a 4.363
_cell_length_b 3.782
_cell_length_c 10.518
_cell_angle_alpha 90.00
_cell_angle_beta 99.45
_cell_angle_gamma 90.00
_space_group_name_H-M_alt 'P 1 m 1'
_space_group_IT_number 6
_space_group_name_Hall 'P -2y'
loop_
_atom_site_label
_atom_site_type_symbol
_atom_site_fract_x
_atom_site_fract_y
_atom_site_fract_z
Mg1 Mg 0.000 0.000 0.000
Ag1 Ag 0.310 0.500 0.288
Ag2 Ag 0.952 0.000 0.548
Br1 Br 0.453 0.500 0.554
Br2 Br 0.799 0.000 0.262
O1 O 0.049 0.000 0.796
O2 O 0.176 0.500 0.053
O3 O 0.332 0.000 0.860
O4 O 0.845 0.500 0.990
```

***

No. 5
Diffraction record for MgSi2. The powder X-ray diffraction pattern is theoretical, not measured: it uses the GGA-PBE geometry in the Materials Project and Cu Kα X-rays.
Lines closer than 0.1° are merged.

Principal peaks in the range 10° ≤ 2θ ≤ 90°, by angle:
index, two_theta, I/Imax
0 0 2, 17.55, 49
0 2 -2, 30.61, 100
0 2 1, 32.29, 40
-1 1 2, 33.81, 53
1 1 2, 35.83, 47
2 0 0, 48.50, 43

Structure:
```
data_MgSi2
_cell_length_a 3.763
_cell_length_b 6.284
_cell_length_c 10.374
_cell_angle_alpha 102.50
_cell_angle_beta 93.77
_cell_angle_gamma 90.05
_space_group_name_H-M_alt 'P 1'
_space_group_IT_number 1
_space_group_name_Hall 'P 1'
loop_
_atom_site_label
_atom_site_type_symbol
_atom_site_fract_x
_atom_site_fract_y
_atom_site_fract_z
Mg1 Mg 0.000 0.000 0.000
Mg2 Mg 0.050 0.845 0.485
Mg3 Mg 0.479 0.532 0.989
Mg4 Mg 0.543 0.310 0.478
Si1 Si 0.006 0.707 0.190
Si2 Si 0.037 0.408 0.290
Si3 Si 0.059 0.245 0.674
Si4 Si 0.474 0.794 0.803
Si5 Si 0.520 0.210 0.191
Si6 Si 0.523 0.905 0.289
Si7 Si 0.584 0.173 0.800
Si8 Si 0.948 0.628 0.679
```

***

No. 6
Diffraction record for Cs4Sb2O5. The powder X-ray diffraction pattern is theoretical, not measured: it uses the GGA-PBE geometry in the Materials Project and Cu Kα X-rays.
Lines closer than 0.1° are merged.

Principal peaks in the range 10° ≤ 2θ ≤ 90°, by angle:
index, two_theta, I/Imax
0 2 0, 25.23, 56
2 0 -2, 25.41, 55
1 1 2, 27.32, 100
3 1 0, 27.87, 93
2 2 -2, 36.12, 56
1 1 -4, 45.62, 23

Structure:
```
data_Cs4Sb2O5
_cell_length_a 10.874
_cell_length_b 7.059
_cell_length_c 8.303
_cell_angle_alpha 90.00
_cell_angle_beta 97.73
_cell_angle_gamma 90.00
_space_group_name_H-M_alt 'C 1 m 1'
_space_group_IT_number 8
_space_group_name_Hall 'C -2y'
loop_
_atom_site_label
_atom_site_type_symbol
_atom_site_fract_x
_atom_site_fract_y
_atom_site_fract_z
Cs1 Cs 0.000 0.000 0.000
Cs2 Cs 0.006 0.000 0.504
Cs3 Cs 0.171 0.500 0.158
Cs4 Cs 0.342 0.000 0.851
Sb1 Sb 0.153 0.500 0.675
Sb2 Sb 0.358 0.000 0.333
O1 O 0.127 0.287 0.813
O2 O 0.416 0.214 0.218
O3 O 0.482 0.000 0.539
```